This entry pairs a crystal structure of PmCoAsH2 with its theoretical powder XRD pattern. Radiation: Cu Kα. Structure: a crystal structure in Alexandria, relaxed with PBE.
No peak broadening, texture or thermal motion is included.

Atomic structure:
Cell: 3.8593 10.3582 6.1179 Å, 90.00 90.00 90.00°
Space group Cmcm (No. 63)
Unique sites:
Pm: 0.0000 0.2148 0.2500
Co: 0.0000 0.5000 0.0000
As: 0.0000 0.0620 0.7500
H: 0.0000 0.3468 0.5562

Peak list (6 most intense, 2θ from 10° to 90°, low angle first)
2θ/deg	I_rel
28.67	77
29.19	36
34.04	37
37.72	53
37.93	100
38.55	76